For Pr2Tm8Sc3, DFT lattice parameters and positions (GGA-PBE) gives the theoretical powder X-ray diffraction pattern in this record (Cu Kα, 1.54184 Å).

Atomic structure:
```
data_Pr2Tm8Sc3
_chemical_formula_sum 'Pr2 Tm8 Sc3'
_cell_length_a 6.010
_cell_length_b 6.032
_cell_length_c 10.963
_cell_angle_alpha 90.00
_cell_angle_beta 100.51
_cell_angle_gamma 99.64
_symmetry_space_group_name_H-M 'P -1'
_symmetry_Int_Tables_number 2
_symmetry_space_group_name_Hall '-P 1'
loop_
_atom_site_label
_atom_site_fract_x
_atom_site_fract_y
_atom_site_fract_z
_atom_site_occupancy
Pr1 0.117 0.269 0.461 1
Tm1 0.040 0.418 0.147 1
Tm2 0.193 0.122 0.781 1
Tm3 0.346 0.808 0.376 1
Tm4 0.425 0.660 0.702 1
Sc1 0.273 0.962 0.073 1
Sc2 0.500 0.500 0.000 1
```

Principal peaks in the range 2θ = 10–90°, in order of rising 2θ:
- d 2.837, 2θ = 31.5°, I 100, hkl -2 1 1
- d 2.831, 2θ = 31.6°, I 33, hkl 1 0 3
- d 2.456, 2θ = 36.6°, I 67, hkl 2 1 0
- d 1.735, 2θ = 52.8°, I 30, hkl 3 -1 2
- d 1.482, 2θ = 62.7°, I 23, hkl 3 -3 1
- d 1.479, 2θ = 62.8°, I 26, hkl 4 0 -1